No. 1
LaPr2B2Pd2N3: computed PXRD pattern (CuKα), based on the GGA-PBE geometry in OQMD.
Neutral-atom scattering factors, no anomalous dispersion.

Largest 8 diffraction maxima, by angle, 2θ = 5–70°:
- 26.77°, d = 3.330 Å, rel. 100
- 31.89°, d = 2.807 Å, rel. 96
- 34.40°, d = 2.607 Å, rel. 75
- 34.52°, d = 2.598 Å, rel. 94
- 37.71°, d = 2.385 Å, rel. 76
- 47.96°, d = 1.897 Å, rel. 64
- 55.81°, d = 1.647 Å, rel. 62
- 60.35°, d = 1.534 Å, rel. 57

Structural model:
a b c (Å): 10.768 10.768 10.768
angles (deg): 159.71 159.71 28.85
Sites, in units of the cell vectors:
1 La 0.000 0.000 0.000
2 Pr 0.378 0.378 0.000
3 Pr 0.622 0.622 0.000
4 B 0.188 0.188 0.000
5 B 0.812 0.812 0.000
6 Pd 0.250 0.750 0.500
7 Pd 0.750 0.250 0.500
8 N 0.120 0.120 0.000
9 N 0.500 0.500 0.000
10 N 0.880 0.880 0.000

---

No. 2
La2PrB2N4: computed PXRD pattern (CuKα), based on the GGA-PBE geometry in OQMD.
Neutral-atom scattering factors, no anomalous dispersion.

Largest 8 diffraction maxima, by angle, 2θ = 5–70°:
- 26.09°, d = 3.415 Å, rel. 17
- 27.99°, d = 3.188 Å, rel. 34
- 28.17°, d = 3.167 Å, rel. 65
- 32.96°, d = 2.718 Å, rel. 100
- 38.64°, d = 2.330 Å, rel. 33
- 48.69°, d = 1.870 Å, rel. 23
- 52.76°, d = 1.735 Å, rel. 23
- 57.10°, d = 1.613 Å, rel. 21

Structural model:
a b c (Å): 6.585 6.585 6.585
angles (deg): 148.32 122.10 67.52
Sites, in units of the cell vectors:
1 La 0.201 0.201 0.000
2 La 0.799 0.799 0.000
3 Pr 0.500 0.000 0.500
4 B 0.142 0.500 0.642
5 B 0.858 0.500 0.358
6 N 0.138 0.382 0.756
7 N 0.374 0.618 0.756
8 N 0.626 0.382 0.244
9 N 0.862 0.618 0.244